[1]
Computed powder diffraction line list
Compound: AlNiO3
Radiation: a wavelength of 1.5418 Å
Structure: a crystal structure in the Materials Project, relaxed with PBE+U

Peak list (8 most intense, 2θ = 10–80°, sorted by position)
| Position (°2θ) | intensity | h k l |
| --- | --- | --- |
| 24.33 | 9 | 1 0 0 |
| 34.68 | 100 | 1 1 0 |
| 42.82 | 46 | 1 1 1 |
| 49.86 | 56 | 2 0 0 |
| 56.23 | 4 | 2 1 0 |
| 62.16 | 37 | 2 1 1 |
| 73.18 | 30 | 2 2 0 |
| 78.44 | 2 | 3 0 0 |

Cell and atoms:
```
data_AlNiO3
_symmetry_space_group_name_H-M 'P m -3 m'
_symmetry_Int_Tables_number 221
_symmetry_space_group_name_Hall '-P 4 2 3'
_cell_length_a 3.658
_cell_length_b 3.658
_cell_length_c 3.658
_cell_angle_alpha 90.00
_cell_angle_beta 90.00
_cell_angle_gamma 90.00
loop_
_atom_site_label
_atom_site_fract_x
_atom_site_fract_y
_atom_site_fract_z
_atom_site_occupancy
Al1 0.000 0.000 0.000 1
Ni1 0.500 0.500 0.500 1
O1 0.000 0.000 0.500 1
```

---

[2]
Computed powder diffraction line list
Compound: NaTbMnWO6
Radiation: a wavelength of 1.5418 Å
Structure: a crystal structure in the Materials Project, relaxed with PBE+U

Peak list (12 most intense, 2θ = 10–80°, sorted by position)
| Position (°2θ) | intensity | h k l |
| --- | --- | --- |
| 11.05 | 37 | 0 0 1 |
| 19.17 | 22 | 0 1 1 |
| 19.62 | 20 | 1 0 -1 |
| 25.18 | 29 | 1 1 1 |
| 31.54 | 25 | 0 2 0 |
| 31.85 | 100 | 1 1 -2 |
| 32.66 | 24 | 2 0 0 |
| 45.30 | 14 | 0 0 4 |
| 46.04 | 22 | 2 2 0 |
| 56.36 | 16 | 1 3 2 |
| 57.78 | 23 | 3 1 2 |
| 66.57 | 12 | 2 2 -4 |

Cell and atoms:
```
data_NaTbMnWO6
_symmetry_space_group_name_H-M 'P 1 21 1'
_symmetry_Int_Tables_number 4
_symmetry_space_group_name_Hall 'P 2yb'
_cell_length_a 5.483
_cell_length_b 5.674
_cell_length_c 8.008
_cell_angle_alpha 90.00
_cell_angle_beta 90.04
_cell_angle_gamma 90.00
loop_
_atom_site_label
_atom_site_fract_x
_atom_site_fract_y
_atom_site_fract_z
_atom_site_occupancy
Na1 0.249 0.000 0.499 1
Tb1 0.235 0.904 0.999 1
Mn1 0.252 0.460 0.742 1
W1 0.262 0.469 0.256 1
O1 0.030 0.161 0.820 1
O2 0.067 0.194 0.178 1
O3 0.170 0.432 0.480 1
O4 0.363 0.510 0.007 1
O5 0.411 0.774 0.283 1
O6 0.440 0.802 0.725 1
```

---

[3]
Computed powder diffraction line list
Compound: Na2Mo2As3O16
Radiation: a wavelength of 1.5418 Å
Structure: a crystal structure in the Materials Project, relaxed with PBE+U

Peak list (12 most intense, 2θ = 10–80°, sorted by position)
| Position (°2θ) | intensity | h k l |
| --- | --- | --- |
| 10.49 | 91 | 0 1 0 |
| 11.21 | 90 | 0 1 -1 |
| 11.57 | 100 | 1 0 -1 |
| 15.72 | 37 | 1 1 -1 |
| 18.37 | 42 | 1 1 -2 |
| 21.46 | 39 | 1 -2 0 |
| 22.68 | 53 | -2 1 1 |
| 28.16 | 42 | -2 2 1 |
| 28.78 | 40 | 2 1 -3 |
| 29.51 | 33 | 1 -1 3 |
| 30.43 | 31 | 0 1 3 |
| 31.34 | 40 | 2 -1 2 |

Cell and atoms:
```
data_Na2Mo2As3O16
_symmetry_space_group_name_H-M 'P -1'
_symmetry_Int_Tables_number 2
_symmetry_space_group_name_Hall '-P 1'
_cell_length_a 8.350
_cell_length_b 8.971
_cell_length_c 11.632
_cell_angle_alpha 104.46
_cell_angle_beta 107.42
_cell_angle_gamma 98.37
loop_
_atom_site_label
_atom_site_fract_x
_atom_site_fract_y
_atom_site_fract_z
_atom_site_occupancy
Na1 0.204 0.031 0.116 1
Na2 0.292 0.687 0.428 1
Mo1 0.046 0.333 0.409 1
Mo2 0.254 0.431 0.696 1
As1 0.036 0.624 0.888 1
As2 0.304 0.881 0.830 1
As3 0.398 0.322 0.052 1
O1 0.002 0.604 0.432 1
O2 0.034 0.134 0.371 1
O3 0.087 0.807 0.183 1
O4 0.101 0.388 0.272 1
O5 0.170 0.701 0.202 1
O6 0.178 0.822 0.927 1
O7 0.183 0.505 0.836 1
O8 0.200 0.252 0.056 1
O9 0.209 0.698 0.691 1
O10 0.246 0.238 0.691 1
O11 0.276 0.430 0.527 1
O12 0.374 0.962 0.503 1
O13 0.417 0.135 0.352 1
O14 0.419 0.998 0.289 1
O15 0.488 0.527 0.783 1
O16 0.491 0.154 0.097 1
```

---

[4]
Computed powder diffraction line list
Compound: Li2Fe2NiP3O12
Radiation: a wavelength of 1.5418 Å
Structure: a crystal structure in the Materials Project, relaxed with PBE+U

Peak list (12 most intense, 2θ = 10–80°, sorted by position)
| Position (°2θ) | intensity | h k l |
| --- | --- | --- |
| 19.95 | 100 | 0 2 0 |
| 23.93 | 38 | 3 1 0 |
| 24.03 | 37 | 2 2 -1 |
| 24.20 | 37 | 1 1 -2 |
| 33.42 | 37 | 5 1 -1 |
| 33.59 | 35 | 4 2 -2 |
| 33.82 | 33 | 3 1 -3 |
| 34.93 | 68 | 2 0 2 |
| 48.99 | 15 | 6 2 0 |
| 49.20 | 15 | 4 4 -2 |
| 49.57 | 14 | 2 2 -4 |
| 54.60 | 21 | 3 1 3 |

Cell and atoms:
```
data_Li2Fe2NiP3O12
_symmetry_space_group_name_H-M 'C 1 2 1'
_symmetry_Int_Tables_number 5
_symmetry_space_group_name_Hall 'C 2y'
_cell_length_a 14.344
_cell_length_b 8.912
_cell_length_c 8.352
_cell_angle_alpha 90.00
_cell_angle_beta 121.14
_cell_angle_gamma 90.00
loop_
_atom_site_label
_atom_site_fract_x
_atom_site_fract_y
_atom_site_fract_z
_atom_site_occupancy
Li1 0.000 0.000 0.000 1
Li2 0.000 0.294 0.500 1
Li3 0.200 0.602 0.399 1
Fe1 0.097 0.901 0.402 1
Fe2 0.106 0.404 0.897 1
Ni1 0.247 0.904 0.244 1
P1 0.000 0.594 0.500 1
P2 0.000 0.698 0.000 1
P3 0.146 0.254 0.303 1
P4 0.156 0.056 0.811 1
O1 0.036 0.296 0.282 1
O2 0.045 0.010 0.783 1
O3 0.055 0.599 0.925 1
O4 0.064 0.684 0.434 1
O5 0.088 0.483 0.650 1
O6 0.090 0.806 0.149 1
O7 0.151 0.316 0.137 1
O8 0.169 0.081 0.312 1
O9 0.169 0.231 0.814 1
O10 0.174 0.007 0.654 1
O11 0.235 0.318 0.499 1
O12 0.241 0.988 0.006 1
```

---

[5]
Computed powder diffraction line list
Compound: LiNbCo3P6O24
Radiation: a wavelength of 1.5418 Å
Structure: a crystal structure in the Materials Project, relaxed with PBE+U

Peak list (12 most intense, 2θ = 10–80°, sorted by position)
| Position (°2θ) | intensity | h k l |
| --- | --- | --- |
| 14.25 | 46 | 0 1 2 |
| 20.05 | 78 | 1 0 4 |
| 20.35 | 49 | 1 1 0 |
| 23.77 | 100 | 2 -1 3 |
| 28.72 | 55 | 0 2 4 |
| 31.58 | 16 | 3 -1 1 |
| 32.00 | 45 | 1 1 6 |
| 35.46 | 18 | 3 -1 4 |
| 35.63 | 22 | 3 0 0 |
| 48.64 | 16 | 4 -2 6 |
| 52.73 | 19 | 2 1 10 |
| 55.73 | 19 | 4 1 0 |

Cell and atoms:
```
data_LiNbCo3P6O24
_symmetry_space_group_name_H-M 'R 3'
_symmetry_Int_Tables_number 146
_symmetry_space_group_name_Hall 'R 3'
_cell_length_a 8.7278
_cell_length_b 8.7278
_cell_length_c 21.8568
_cell_angle_alpha 90.00
_cell_angle_beta 90.00
_cell_angle_gamma 120.00
loop_
_atom_site_label
_atom_site_fract_x
_atom_site_fract_y
_atom_site_fract_z
_atom_site_occupancy
Li1 0.0000 0.0000 0.0000 1
Nb1 0.0000 0.0000 0.1641 1
Co1 0.0000 0.0000 0.3794 1
Co2 0.0000 0.0000 0.6631 1
Co3 0.0000 0.0000 0.8738 1
P1 0.0457 0.3740 0.9405 1
P2 0.0517 0.6688 0.4369 1
O1 0.0066 0.1902 0.2155 1
O2 0.0200 0.1862 0.9371 1
O3 0.0305 0.8285 0.7126 1
O4 0.0383 0.8365 0.4297 1
O5 0.1520 0.6842 0.4961 1
O6 0.1588 0.4634 0.9973 1
O7 0.1616 0.6882 0.7755 1
O8 0.1680 0.4659 0.2770 1
```

---

[6]
Computed powder diffraction line list
Compound: Al2FeP2H18O18
Radiation: a wavelength of 1.5418 Å
Structure: a crystal structure in the Materials Project, relaxed with PBE+U

Peak list (12 most intense, 2θ = 10–80°, sorted by position)
| Position (°2θ) | intensity | h k l |
| --- | --- | --- |
| 13.71 | 68 | 0 1 0 |
| 15.79 | 70 | 0 0 2 |
| 18.34 | 32 | 1 1 0 |
| 18.53 | 47 | 1 1 1 |
| 22.67 | 37 | 0 1 -2 |
| 23.04 | 56 | 1 0 2 |
| 24.66 | 70 | 1 0 -2 |
| 25.41 | 54 | 0 1 3 |
| 27.61 | 100 | 1 -1 1 |
| 30.03 | 44 | -1 1 2 |
| 33.73 | 34 | 2 1 0 |
| 37.82 | 31 | 1 0 -4 |

Cell and atoms:
```
data_Al2FeP2H18O18
_symmetry_space_group_name_H-M 'P -1'
_symmetry_Int_Tables_number 2
_symmetry_space_group_name_Hall '-P 1'
_cell_length_a 5.365
_cell_length_b 7.033
_cell_length_c 11.497
_cell_angle_alpha 78.17
_cell_angle_beta 82.19
_cell_angle_gamma 68.74
loop_
_atom_site_label
_atom_site_fract_x
_atom_site_fract_y
_atom_site_fract_z
_atom_site_occupancy
Al1 0.000 0.000 0.000 1
Al2 0.000 0.500 0.000 1
Fe1 0.000 0.000 0.500 1
P1 0.406 0.073 0.139 1
H1 0.044 0.685 0.418 1
H2 0.055 0.541 0.193 1
H3 0.257 0.447 0.604 1
H4 0.271 0.359 0.350 1
H5 0.289 0.379 0.743 1
H6 0.316 0.838 0.492 1
H7 0.346 0.675 0.976 1
H8 0.392 0.543 0.327 1
H9 0.486 0.948 0.322 1
O1 0.068 0.218 0.525 1
O2 0.106 0.451 0.844 1
O3 0.149 0.712 0.986 1
O4 0.223 0.510 0.329 1
O5 0.226 0.955 0.124 1
O6 0.293 0.037 0.886 1
O7 0.323 0.297 0.070 1
O8 0.370 0.085 0.282 1
O9 0.391 0.357 0.660 1
```

---

[7]
Computed powder diffraction line list
Compound: Ba3FeO5
Radiation: a wavelength of 1.5418 Å
Structure: a crystal structure in the Materials Project, relaxed with PBE+U

Peak list (12 most intense, 2θ = 10–80°, sorted by position)
| Position (°2θ) | intensity | h k l |
| --- | --- | --- |
| 25.52 | 53 | 1 0 2 |
| 25.80 | 68 | 1 2 1 |
| 27.12 | 94 | 2 2 0 |
| 27.67 | 70 | 1 1 2 |
| 28.08 | 100 | 3 0 1 |
| 29.74 | 51 | 2 2 1 |
| 33.37 | 84 | 1 2 2 |
| 36.13 | 46 | 4 0 1 |
| 43.05 | 41 | 0 4 0 |
| 46.00 | 35 | 2 2 3 |
| 49.88 | 32 | 5 2 1 |
| 50.68 | 30 | 4 0 3 |

Cell and atoms:
```
data_Ba3FeO5
_symmetry_space_group_name_H-M 'P n m a'
_symmetry_Int_Tables_number 62
_symmetry_space_group_name_Hall '-P 2ac 2n'
_cell_length_a 10.558
_cell_length_b 8.405
_cell_length_c 7.397
_cell_angle_alpha 90.00
_cell_angle_beta 90.00
_cell_angle_gamma 90.00
loop_
_atom_site_label
_atom_site_fract_x
_atom_site_fract_y
_atom_site_fract_z
_atom_site_occupancy
Ba1 0.029 0.250 0.113 1
Ba2 0.179 0.025 0.586 1
Fe1 0.095 0.750 0.305 1
O1 0.001 0.250 0.488 1
O2 0.063 0.556 0.200 1
O3 0.223 0.750 0.835 1
O4 0.231 0.250 0.856 1
```

---

[8]
Computed powder diffraction line list
Compound: LiCr2O4
Radiation: a wavelength of 1.5418 Å
Structure: a crystal structure in the Materials Project, relaxed with PBE+U

Peak list (12 most intense, 2θ = 10–80°, sorted by position)
| Position (°2θ) | intensity | h k l |
| --- | --- | --- |
| 18.23 | 55 | 0 1 1 |
| 18.34 | 100 | 1 0 1 |
| 18.44 | 45 | 1 0 -1 |
| 35.39 | 30 | 1 2 -1 |
| 35.58 | 31 | -2 1 1 |
| 35.73 | 15 | 1 0 3 |
| 42.97 | 38 | 2 2 0 |
| 43.07 | 37 | 2 -2 0 |
| 43.51 | 36 | 0 0 4 |
| 56.86 | 13 | -2 3 1 |
| 62.15 | 11 | 0 4 0 |
| 62.83 | 22 | 4 0 0 |

Cell and atoms:
```
data_LiCr2O4
_symmetry_space_group_name_H-M 'P 1'
_symmetry_Int_Tables_number 1
_symmetry_space_group_name_Hall 'P 1'
_cell_length_a 5.919
_cell_length_b 5.975
_cell_length_c 8.320
_cell_angle_alpha 89.64
_cell_angle_beta 89.72
_cell_angle_gamma 89.87
loop_
_atom_site_label
_atom_site_fract_x
_atom_site_fract_y
_atom_site_fract_z
_atom_site_occupancy
Li1 0.000 0.000 0.000 1
Li2 0.001 0.502 0.248 1
Li3 0.502 0.504 0.502 1
Li4 0.506 0.998 0.749 1
Cr1 0.002 0.253 0.624 1
Cr2 0.005 0.748 0.624 1
Cr3 0.252 0.002 0.375 1
Cr4 0.252 0.499 0.874 1
Cr5 0.499 0.256 0.123 1
Cr6 0.505 0.752 0.125 1
Cr7 0.754 0.004 0.375 1
Cr8 0.755 0.501 0.874 1
O1 0.007 0.784 0.379 1
O2 0.227 0.499 0.636 1
O3 0.232 0.004 0.604 1
O4 0.278 0.004 0.143 1
O5 0.286 0.494 0.120 1
O6 0.500 0.227 0.359 1
O7 0.508 0.788 0.367 1
O8 0.510 0.268 0.894 1
O9 0.511 0.717 0.885 1
O10 0.724 0.013 0.141 1
O11 0.729 0.497 0.109 1
O12 0.774 0.503 0.643 1
O13 0.774 0.998 0.602 1
O14 0.994 0.280 0.866 1
O15 0.999 0.219 0.380 1
O16 0.999 0.724 0.864 1
```

---

What did the fifth record say?
Computed powder diffraction line list
Compound: LiNbCo3P6O24
Radiation: a wavelength of 1.5418 Å
Structure: a crystal structure in the Materials Project, relaxed with PBE+U

Peak list (12 most intense, 2θ = 10–80°, sorted by position)
| Position (°2θ) | intensity | h k l |
| --- | --- | --- |
| 14.25 | 46 | 0 1 2 |
| 20.05 | 78 | 1 0 4 |
| 20.35 | 49 | 1 1 0 |
| 23.77 | 100 | 2 -1 3 |
| 28.72 | 55 | 0 2 4 |
| 31.58 | 16 | 3 -1 1 |
| 32.00 | 45 | 1 1 6 |
| 35.46 | 18 | 3 -1 4 |
| 35.63 | 22 | 3 0 0 |
| 48.64 | 16 | 4 -2 6 |
| 52.73 | 19 | 2 1 10 |
| 55.73 | 19 | 4 1 0 |

Cell and atoms:
```
data_LiNbCo3P6O24
_symmetry_space_group_name_H-M 'R 3'
_symmetry_Int_Tables_number 146
_symmetry_space_group_name_Hall 'R 3'
_cell_length_a 8.7278
_cell_length_b 8.7278
_cell_length_c 21.8568
_cell_angle_alpha 90.00
_cell_angle_beta 90.00
_cell_angle_gamma 120.00
loop_
_atom_site_label
_atom_site_fract_x
_atom_site_fract_y
_atom_site_fract_z
_atom_site_occupancy
Li1 0.0000 0.0000 0.0000 1
Nb1 0.0000 0.0000 0.1641 1
Co1 0.0000 0.0000 0.3794 1
Co2 0.0000 0.0000 0.6631 1
Co3 0.0000 0.0000 0.8738 1
P1 0.0457 0.3740 0.9405 1
P2 0.0517 0.6688 0.4369 1
O1 0.0066 0.1902 0.2155 1
O2 0.0200 0.1862 0.9371 1
O3 0.0305 0.8285 0.7126 1
O4 0.0383 0.8365 0.4297 1
O5 0.1520 0.6842 0.4961 1
O6 0.1588 0.4634 0.9973 1
O7 0.1616 0.6882 0.7755 1
O8 0.1680 0.4659 0.2770 1
```